Zn2SiO4: calculated X-ray powder pattern (Cu Kα, 1.54184 Å), based on the GGA-PBE geometry in the Materials Project.
Neutral-atom scattering factors, no anomalous dispersion.

Atomic structure:
```
56
Lattice="6.188 0.000 0.000 0.000 11.036 0.000 0.000 0.000 9.840" Properties=species:S:1:pos:R:3 pbc="T T T"
Zn 0.363 1.771 1.811
Zn 0.363 3.747 6.731
Zn 0.952 6.211 9.042
Zn 0.952 10.343 4.121
Zn 2.142 0.693 9.042
Zn 2.142 4.825 4.121
Zn 2.732 7.289 1.811
Zn 2.732 9.265 6.731
Zn 3.457 1.771 3.109
Zn 3.457 3.747 8.029
Zn 4.046 6.211 5.719
Zn 4.046 10.343 0.799
Zn 5.236 0.693 5.719
Zn 5.236 4.825 0.799
Zn 5.826 7.289 3.109
Zn 5.826 9.265 8.029
Si 0.849 6.883 6.101
Si 0.849 9.671 1.181
Si 2.245 1.365 6.101
Si 2.245 4.153 1.181
Si 3.943 6.883 8.660
Si 3.943 9.671 3.740
Si 5.339 1.365 8.660
Si 5.339 4.153 3.740
O 0.461 1.478 9.654
O 0.461 4.040 4.734
O 0.608 5.656 7.185
O 0.608 10.897 2.265
O 0.924 1.097 5.158
O 0.924 4.420 0.238
O 1.028 8.257 7.026
O 1.028 8.297 2.106
O 2.066 2.739 7.026
O 2.066 2.779 2.106
O 2.171 6.615 5.158
O 2.171 9.938 0.238
O 2.486 0.138 7.185
O 2.486 5.380 2.265
O 2.633 6.996 9.654
O 2.633 9.558 4.734
O 3.555 1.478 5.106
O 3.555 4.040 0.186
O 3.702 5.656 7.576
O 3.702 10.897 2.655
O 4.018 1.097 9.602
O 4.018 4.420 4.682
O 4.122 8.257 7.734
O 4.122 8.297 2.814
O 5.160 2.739 7.734
O 5.160 2.779 2.814
O 5.265 6.615 9.602
O 5.265 9.938 4.682
O 5.580 0.138 7.576
O 5.580 5.380 2.655
O 5.728 6.996 5.106
O 5.728 9.558 0.186
```

Most intense lines, 2θ = 10–90°, in order of falling intensity:
- 2θ = 31.37°, intensity 100
- 2θ = 31.74°, intensity 81
- 2θ = 33.73°, intensity 64
- 2θ = 29.67°, intensity 59
- 2θ = 28.26°, intensity 42
- 2θ = 24.48°, intensity 38
- 2θ = 24.24°, intensity 37
- 2θ = 34.46°, intensity 35
- 2θ = 31.93°, intensity 32
- 2θ = 58.09°, intensity 31

***

Zn2SiO5: calculated X-ray powder pattern (Cu Kα, 1.54184 Å), based on the GGA-PBE geometry in the Materials Project.
Neutral-atom scattering factors, no anomalous dispersion.

Atomic structure:
```
16
Lattice="-3.864 5.680 2.570 3.864 -5.680 2.570 3.864 5.680 -2.570" Properties=species:S:1:pos:R:3 pbc="T T T"
Zn 1.744 1.767 0.000
Zn 5.984 1.767 0.000
Zn -2.120 3.914 2.570
Zn 2.120 3.914 2.570
Si 3.864 4.135 -0.043
Si 0.000 1.546 2.527
O 2.512 3.444 -0.673
O 5.215 3.444 -0.673
O 0.000 0.000 1.975
O -1.351 2.237 1.897
O 1.351 2.237 1.897
O 3.864 4.032 1.584
O 0.000 5.680 1.555
O 0.000 1.649 4.155
O -1.191 5.680 2.406
O 1.191 5.680 2.406
```

Most intense lines, 2θ = 10–90°, in order of falling intensity:
- 2θ = 37.58°, intensity 100
- 2θ = 29.98°, intensity 99
- 2θ = 18.95°, intensity 78
- 2θ = 34.91°, intensity 55
- 2θ = 26.21°, intensity 54
- 2θ = 13.86°, intensity 51
- 2θ = 23.02°, intensity 48
- 2θ = 29.29°, intensity 43
- 2θ = 15.60°, intensity 37
- 2θ = 42.23°, intensity 33

***

Zn2SiO4: calculated X-ray powder pattern (Cu Kα, 1.54184 Å), based on the GGA-PBE geometry in the Materials Project.
Neutral-atom scattering factors, no anomalous dispersion.

Atomic structure:
```
42
Lattice="7.075 4.085 3.140 -7.075 4.085 3.140 0.000 -8.170 3.140" Properties=species:S:1:pos:R:3 pbc="T T T"
Zn -5.490 1.709 3.932
Zn -4.225 -3.900 5.489
Zn -2.869 -0.265 3.940
Zn 1.265 -5.609 3.932
Zn -1.205 -2.618 5.480
Zn 1.664 -2.352 3.940
Zn -1.664 2.352 5.480
Zn 1.205 2.618 3.940
Zn -1.265 5.609 5.489
Zn 2.869 0.265 5.480
Zn 4.225 3.900 3.932
Zn 5.490 -1.709 5.489
Si -1.286 -2.577 2.350
Si -1.589 2.402 2.350
Si 2.875 0.175 2.350
Si -2.875 -0.175 7.070
Si 1.589 -2.402 7.070
Si 1.286 2.577 7.070
O -6.694 -1.566 5.304
O -1.991 -6.580 4.117
O -2.308 -1.276 2.347
O -4.845 -0.155 3.910
O -2.288 -4.273 5.511
O -0.325 -2.529 3.698
O -4.703 5.014 4.117
O -2.028 1.546 3.698
O 2.259 -1.361 2.347
O 0.049 2.637 2.347
O -2.353 -0.984 5.722
O 2.557 -4.118 3.910
O -2.557 4.118 5.510
O 2.353 0.984 3.698
O -0.049 -2.637 7.074
O -2.259 1.361 7.074
O 2.028 -1.546 5.722
O 4.703 -5.014 5.304
O 0.325 2.529 5.722
O 2.288 4.273 3.910
O 4.845 0.155 5.511
O 2.308 1.276 7.074
O 1.991 6.580 5.304
O 6.694 1.566 4.117
```

Most intense lines, 2θ = 10–90°, in order of falling intensity:
- 2θ = 33.51°, intensity 100
- 2θ = 31.16°, intensity 89
- 2θ = 25.17°, intensity 78
- 2θ = 38.33°, intensity 55
- 2θ = 48.26°, intensity 48
- 2θ = 64.64°, intensity 47
- 2θ = 21.76°, intensity 27
- 2θ = 67.61°, intensity 21
- 2θ = 69.41°, intensity 21
- 2θ = 12.51°, intensity 21

***

Zn2SiO5: calculated X-ray powder pattern (Cu Kα, 1.54184 Å), based on the GGA-PBE geometry in the Materials Project.
Neutral-atom scattering factors, no anomalous dispersion.

Atomic structure:
```
16
Lattice="-3.863 5.652 2.598 3.863 -5.652 2.598 3.863 5.652 -2.598" Properties=species:S:1:pos:R:3 pbc="T T T"
Zn 1.709 1.759 0.000
Zn 6.017 1.759 0.000
Zn -2.154 3.893 2.598
Zn 2.154 3.893 2.598
Si 3.863 4.102 -0.071
Si 0.000 1.550 2.527
O 3.863 0.000 0.734
O 2.519 3.401 -0.701
O 5.207 3.401 -0.701
O 0.000 0.000 1.966
O -1.344 2.251 1.896
O 1.344 2.251 1.896
O 3.863 4.044 1.565
O 0.000 1.608 4.163
O -1.197 5.652 2.476
O 1.197 5.652 2.476
```

Most intense lines, 2θ = 10–90°, in order of falling intensity:
- 2θ = 37.57°, intensity 100
- 2θ = 29.89°, intensity 84
- 2θ = 18.80°, intensity 83
- 2θ = 26.32°, intensity 54
- 2θ = 13.88°, intensity 52
- 2θ = 34.53°, intensity 52
- 2θ = 23.02°, intensity 42
- 2θ = 29.28°, intensity 37
- 2θ = 15.68°, intensity 35
- 2θ = 63.88°, intensity 29

***

Zn2SiO4: calculated X-ray powder pattern (Cu Kα, 1.54184 Å), based on the GGA-PBE geometry in the Materials Project.
Neutral-atom scattering factors, no anomalous dispersion.

Atomic structure:
```
28
Lattice="-2.909 5.820 4.261 2.909 -5.820 4.261 2.909 5.820 -4.261" Properties=species:S:1:pos:R:3 pbc="T T T"
Zn 0.000 0.000 0.000
Zn 1.454 4.359 -2.130
Zn 1.454 -1.460 2.130
Zn 0.000 2.910 0.270
Zn 0.000 5.820 0.000
Zn 2.909 2.910 3.990
Zn -1.454 7.280 2.130
Zn 1.454 7.280 2.130
Si 2.909 1.406 0.997
Si 2.909 4.414 0.997
Si 0.000 1.406 3.263
Si 0.000 4.414 3.263
O 2.909 -2.910 2.451
O 1.538 1.432 0.073
O 4.279 1.432 0.073
O 2.909 0.147 2.072
O 0.000 0.147 2.189
O 1.538 4.388 0.073
O 1.370 -1.432 4.333
O 2.909 2.910 1.821
O 0.000 2.910 2.439
O 1.538 7.252 -0.073
O 1.370 1.432 4.188
O 2.909 5.672 2.072
O 0.000 5.672 2.189
O -1.370 4.388 4.188
O 1.370 4.388 4.188
O 0.000 8.730 1.810
```

Most intense lines, 2θ = 10–90°, in order of falling intensity:
- 2θ = 36.09°, intensity 100
- 2θ = 44.01°, intensity 98
- 2θ = 62.79°, intensity 88
- 2θ = 33.45°, intensity 70
- 2θ = 37.43°, intensity 61
- 2θ = 32.45°, intensity 60
- 2θ = 18.47°, intensity 58
- 2θ = 64.00°, intensity 48
- 2θ = 12.88°, intensity 46
- 2θ = 42.43°, intensity 45

***

Zn2SiO4: calculated X-ray powder pattern (Cu Kα, 1.54184 Å), based on the GGA-PBE geometry in the Materials Project.
Neutral-atom scattering factors, no anomalous dispersion.

Atomic structure:
```
28
Lattice="4.997 0.000 0.000 0.000 5.110 0.000 0.000 0.000 10.432" Properties=species:S:1:pos:R:3 pbc="T T T"
Zn 0.018 0.283 1.704
Zn 0.018 2.271 6.920
Zn 2.480 2.838 1.704
Zn 2.480 4.826 6.920
Zn 2.517 0.283 3.512
Zn 2.517 2.271 8.728
Zn 4.979 2.838 3.512
Zn 4.979 4.826 8.728
Si 0.000 0.000 5.216
Si 0.000 2.555 0.000
Si 2.499 0.000 0.000
Si 2.499 2.555 5.216
O 0.573 2.783 8.780
O 0.573 4.882 3.564
O 1.005 3.640 5.728
O 1.005 4.024 0.512
O 1.493 1.085 5.728
O 1.493 1.470 0.512
O 1.926 0.228 8.780
O 1.926 2.327 3.564
O 3.071 2.783 6.869
O 3.071 4.882 1.652
O 3.504 3.640 9.921
O 3.504 4.024 4.705
O 3.992 1.085 9.921
O 3.992 1.470 4.705
O 4.425 0.228 6.869
O 4.425 2.327 1.652
```

Most intense lines, 2θ = 10–90°, in order of falling intensity:
- 2θ = 36.04°, intensity 100
- 2θ = 35.94°, intensity 29
- 2θ = 64.67°, intensity 28
- 2θ = 35.12°, intensity 27
- 2θ = 51.13°, intensity 25
- 2θ = 60.07°, intensity 18
- 2θ = 30.32°, intensity 16
- 2θ = 52.64°, intensity 15
- 2θ = 65.39°, intensity 14
- 2θ = 64.87°, intensity 12

***

Zn2SiO4: calculated X-ray powder pattern (Cu Kα, 1.54184 Å), based on the GGA-PBE geometry in the Materials Project.
Neutral-atom scattering factors, no anomalous dispersion.

Atomic structure:
```
28
Lattice="10.438 0.000 0.000 0.000 6.099 0.000 0.000 0.000 4.850" Properties=species:S:1:pos:R:3 pbc="T T T"
Zn 0.000 0.000 0.000
Zn 0.000 3.050 0.000
Zn 2.297 1.525 2.352
Zn 2.922 4.574 4.777
Zn 5.219 0.000 2.425
Zn 5.219 3.050 2.425
Zn 7.516 1.525 0.073
Zn 8.141 4.574 2.498
Si 1.003 4.574 2.066
Si 4.216 1.525 4.491
Si 6.222 4.574 0.359
Si 9.435 1.525 2.784
O 0.532 1.525 3.473
O 0.978 4.574 3.705
O 1.716 3.255 1.357
O 1.716 5.893 1.357
O 3.503 0.206 3.782
O 3.503 2.844 3.782
O 4.241 1.525 1.280
O 4.686 4.574 1.048
O 5.751 1.525 3.802
O 6.197 4.574 3.570
O 6.935 3.255 1.068
O 6.935 5.893 1.068
O 8.722 0.206 3.493
O 8.722 2.844 3.493
O 9.460 1.525 1.145
O 9.905 4.574 1.377
```

Most intense lines, 2θ = 10–90°, in order of falling intensity:
- 2θ = 35.83°, intensity 100
- 2θ = 31.65°, intensity 91
- 2θ = 51.22°, intensity 79
- 2θ = 24.96°, intensity 72
- 2θ = 34.98°, intensity 63
- 2θ = 34.05°, intensity 45
- 2θ = 51.44°, intensity 27
- 2θ = 61.35°, intensity 25
- 2θ = 56.71°, intensity 24
- 2θ = 65.49°, intensity 24

***

Zn2SiO4: calculated X-ray powder pattern (Cu Kα, 1.54184 Å), based on the GGA-PBE geometry in the Materials Project.
Neutral-atom scattering factors, no anomalous dispersion.

Atomic structure:
```
28
Lattice="5.551 0.000 0.000 0.000 8.090 0.000 -4.701 0.000 7.731" Properties=species:S:1:pos:R:3 pbc="T T T"
Zn -0.116 0.067 1.474
Zn -2.466 3.978 5.339
Zn -1.459 0.961 4.620
Zn 0.892 3.084 0.754
Zn -0.042 5.006 6.977
Zn 2.309 7.129 3.111
Zn 3.316 4.112 2.392
Zn 0.965 8.023 6.257
Si 1.836 5.971 0.312
Si -0.514 6.164 4.177
Si 1.364 1.926 3.554
Si -0.987 2.119 7.419
O 0.512 5.053 0.655
O -1.839 7.082 4.521
O -1.072 4.634 3.902
O 1.278 7.501 0.037
O 0.334 1.900 2.251
O -2.016 2.145 6.117
O -2.032 5.237 6.809
O 0.319 6.898 2.943
O 0.531 1.192 4.788
O 2.882 2.853 0.922
O 2.866 5.945 1.614
O 0.515 6.190 5.480
O -0.429 0.589 7.694
O 1.922 3.456 3.829
O 2.688 1.008 3.210
O 0.338 3.037 7.076
```

Most intense lines, 2θ = 10–90°, in order of falling intensity:
- 2θ = 31.67°, intensity 100
- 2θ = 36.85°, intensity 48
- 2θ = 20.78°, intensity 48
- 2θ = 29.01°, intensity 47
- 2θ = 35.25°, intensity 44
- 2θ = 19.47°, intensity 36
- 2θ = 27.34°, intensity 35
- 2θ = 37.94°, intensity 31
- 2θ = 35.12°, intensity 31
- 2θ = 37.11°, intensity 30

***

Zn2SiO4: calculated X-ray powder pattern (Cu Kα, 1.54184 Å), based on the GGA-PBE geometry in the Materials Project.
Neutral-atom scattering factors, no anomalous dispersion.

Atomic structure:
```
14
Lattice="0.000 4.127 4.127 4.127 0.000 4.127 4.127 4.127 0.000" Properties=species:S:1:pos:R:3 pbc="T T T"
Zn 0.000 0.000 0.000
Zn 2.063 2.063 0.000
Zn 2.063 0.000 2.063
Zn 0.000 2.063 2.063
Si 3.095 3.095 3.095
Si 5.159 5.159 5.159
O 2.127 2.127 2.127
O 4.063 4.063 2.127
O 4.063 2.127 4.063
O 6.127 4.191 4.191
O 2.127 4.063 4.063
O 4.191 6.127 4.191
O 4.191 4.191 6.127
O 6.127 6.127 6.127
```

Most intense lines, 2θ = 10–90°, in order of falling intensity:
- 2θ = 36.09°, intensity 100
- 2θ = 43.88°, intensity 51
- 2θ = 63.79°, intensity 50
- 2θ = 18.62°, intensity 40
- 2θ = 58.07°, intensity 28
- 2θ = 37.76°, intensity 21
- 2θ = 48.05°, intensity 17
- 2θ = 76.57°, intensity 11
- 2θ = 75.54°, intensity 10
- 2θ = 80.65°, intensity 8